Diffraction record for Ho2UTl3Se6. The X-ray diffraction stick pattern is simulated, not measured: it uses a crystal structure in Alexandria, relaxed with PBE and Cu Kα X-rays.

Structure:
```
data_Ho2UTl3Se6
_symmetry_space_group_name_H-M 'C 1 2/m 1'
_symmetry_Int_Tables_number 12
_symmetry_space_group_name_Hall '-C 2y'
_cell_length_a 7.2533
_cell_length_b 12.5458
_cell_length_c 8.1677
_cell_angle_alpha 90.00
_cell_angle_beta 107.16
_cell_angle_gamma 90.00
loop_
_atom_site_label
_atom_site_fract_x
_atom_site_fract_y
_atom_site_fract_z
Ho1 0.0000 0.1667 0.0000
U1 0.0000 0.5000 0.0000
Tl1 0.0000 0.0000 0.5000
Tl2 0.0000 0.3336 0.5000
Se1 0.2312 0.0000 0.2031
Se2 0.2364 0.3317 0.2037
```

Most intense lines, 2θ = 10–80°, sorted by position:
22.79 deg, I = 13, (0 0 2); 25.73 deg, I = 24, (2 0 0); 28.98 deg, I = 100, (1 3 1); 39.58 deg, I = 38, (2 0 2); 43.24 deg, I = 35, (0 6 0); 49.43 deg, I = 11, (0 6 2); 52.89 deg, I = 19, (4 0 0); 60.05 deg, I = 11, (2 6 2); 65.42 deg, I = 10, (0 6 4); 70.62 deg, I = 16, (4 6 0)